[1]
The following is a theoretical X-ray powder pattern of Gd2ErIn3AgPd2. It was derived from a cell relaxed with GGA-PBE, using Cu Ka.
Lines closer than 0.1° are merged.

Atomic structure:
```
data_Gd2ErIn3AgPd2
_symmetry_space_group_name_H-M 'A m m 2'
_symmetry_Int_Tables_number 38
_symmetry_space_group_name_Hall 'A 2 -2'
_cell_length_a 3.8081
_cell_length_b 13.5616
_cell_length_c 7.8530
_cell_angle_alpha 90.00
_cell_angle_beta 90.00
_cell_angle_gamma 90.00
loop_
_atom_site_label
_atom_site_fract_x
_atom_site_fract_y
_atom_site_fract_z
Gd1 0.0000 0.2047 0.0000
Er1 0.0000 0.0000 0.6142
In1 0.5000 0.0000 0.9355
In2 0.5000 0.1332 0.3396
Ag1 0.0000 0.0000 0.2060
Pd1 0.5000 0.1649 0.7040
```

Main lines, in order of rising 2θ (2θ = 10–90°):
- d = 2.732 Å, rel. 100.0, hkl 1 3 1
- d = 2.567 Å, rel. 44.9, hkl 0 1 3
- d = 2.534 Å, rel. 88.8, hkl 1 4 0
- d = 2.264 Å, rel. 43.3, hkl 0 6 0
- d = 2.128 Å, rel. 19.1, hkl 1 4 2
- d = 1.904 Å, rel. 21.6, hkl 2 0 0
- d = 1.529 Å, rel. 18.0, hkl 2 1 3
- d = 1.457 Å, rel. 20.9, hkl 2 6 0
- d = 1.444 Å, rel. 11.3, hkl 1 1 5
- d = 1.441 Å, rel. 21.6, hkl 1 7 3

[2]
The following is a theoretical X-ray powder pattern of GdErAg2Pb2. It was derived from a cell relaxed with GGA-PBE, using Cu Ka.
Lines closer than 0.1° are merged.

Atomic structure:
```
data_GdErAg2Pb2
_symmetry_space_group_name_H-M 'P 3 m 1'
_symmetry_Int_Tables_number 156
_symmetry_space_group_name_Hall 'P 3 -2"'
_cell_length_a 4.8145
_cell_length_b 4.8145
_cell_length_c 7.4597
_cell_angle_alpha 90.00
_cell_angle_beta 90.00
_cell_angle_gamma 120.00
loop_
_atom_site_label
_atom_site_fract_x
_atom_site_fract_y
_atom_site_fract_z
Gd1 0.0000 0.0000 0.0000
Er1 0.0000 0.0000 0.5010
Ag1 0.3333 0.6667 0.6816
Ag2 0.6667 0.3333 0.1861
Pb1 0.3333 0.6667 0.2808
Pb2 0.6667 0.3333 0.7776
```

Main lines, in order of rising 2θ (2θ = 10–90°):
- d = 3.640 Å, rel. 27.9, hkl 1 0 1
- d = 2.780 Å, rel. 100.0, hkl 1 0 2
- d = 2.407 Å, rel. 89.0, hkl 1 1 0
- d = 2.136 Å, rel. 27.0, hkl 0 1 3
- d = 1.820 Å, rel. 29.1, hkl 0 2 2
- d = 1.474 Å, rel. 16.0, hkl 1 1 4
- d = 1.452 Å, rel. 27.8, hkl 2 1 2
- d = 1.390 Å, rel. 16.9, hkl 3 0 0
- d = 1.331 Å, rel. 11.9, hkl 1 2 3
- d = 1.105 Å, rel. 14.7, hkl 1 3 2

[3]
The following is a theoretical X-ray powder pattern of GdEr2Tl3AgPt2. It was derived from a cell relaxed with GGA-PBE, using Cu Ka.
Lines closer than 0.1° are merged.

Atomic structure:
```
data_GdEr2Tl3AgPt2
_symmetry_space_group_name_H-M 'A m m 2'
_symmetry_Int_Tables_number 38
_symmetry_space_group_name_Hall 'A 2 -2'
_cell_length_a 3.7579
_cell_length_b 13.7567
_cell_length_c 7.9072
_cell_angle_alpha 90.00
_cell_angle_beta 90.00
_cell_angle_gamma 90.00
loop_
_atom_site_label
_atom_site_fract_x
_atom_site_fract_y
_atom_site_fract_z
Gd1 0.0000 0.0000 0.0000
Er1 0.0000 0.2052 0.6151
Tl1 0.5000 0.0000 0.6799
Tl2 0.5000 0.1355 0.2749
Ag1 0.0000 0.0000 0.4106
Pt1 0.5000 0.1684 0.9090
```

Main lines, in order of rising 2θ (2θ = 10–90°):
- d = 2.727 Å, rel. 100.0, hkl 1 0 2
- d = 2.597 Å, rel. 35.0, hkl 0 5 1
- d = 2.534 Å, rel. 80.2, hkl 1 2 2
- d = 2.293 Å, rel. 17.5, hkl 0 6 0
- d = 2.285 Å, rel. 35.0, hkl 0 3 3
- d = 2.136 Å, rel. 18.1, hkl 1 5 1
- d = 1.879 Å, rel. 22.2, hkl 2 0 0
- d = 1.522 Å, rel. 20.7, hkl 2 5 1
- d = 1.453 Å, rel. 33.3, hkl 2 6 0
- d = 1.451 Å, rel. 28.9, hkl 2 3 3

[4]
The following is a theoretical X-ray powder pattern of GdErAg2Sb4. It was derived from a cell relaxed with GGA-PBE, using Cu Ka.
Lines closer than 0.1° are merged.

Atomic structure:
```
data_GdErAg2Sb4
_symmetry_space_group_name_H-M 'P 4 m m'
_symmetry_Int_Tables_number 99
_symmetry_space_group_name_Hall 'P 4 -2'
_cell_length_a 4.3345
_cell_length_b 4.3345
_cell_length_c 10.4285
_cell_angle_alpha 90.00
_cell_angle_beta 90.00
_cell_angle_gamma 90.00
loop_
_atom_site_label
_atom_site_fract_x
_atom_site_fract_y
_atom_site_fract_z
Gd1 0.0000 0.0000 0.0000
Er1 0.5000 0.5000 0.5286
Ag1 0.0000 0.5000 0.2650
Sb1 0.0000 0.0000 0.4507
Sb2 0.0000 0.5000 0.7621
Sb3 0.5000 0.5000 0.0797
```

Main lines, in order of rising 2θ (2θ = 10–90°):
- d = 3.333 Å, rel. 11.2, hkl 1 0 2
- d = 2.642 Å, rel. 100.0, hkl 1 1 2
- d = 2.607 Å, rel. 15.2, hkl 0 0 4
- d = 2.234 Å, rel. 8.6, hkl 1 0 4
- d = 2.167 Å, rel. 33.2, hkl 2 0 0
- d = 1.879 Å, rel. 6.4, hkl 1 0 5
- d = 1.667 Å, rel. 15.4, hkl 2 0 4
- d = 1.532 Å, rel. 10.8, hkl 2 2 0
- d = 1.326 Å, rel. 22.5, hkl 3 1 2
- d = 1.321 Å, rel. 7.0, hkl 2 2 4

[5]
The following is a theoretical X-ray powder pattern of Ho2ErAg4Ge4. It was derived from a cell relaxed with GGA-PBE, using Cu Ka.
Lines closer than 0.1° are merged.

Atomic structure:
```
data_Ho2ErAg4Ge4
_symmetry_space_group_name_H-M 'I m m m'
_symmetry_Int_Tables_number 71
_symmetry_space_group_name_Hall '-I 2 2'
_cell_length_a 4.3230
_cell_length_b 7.1307
_cell_length_c 14.4654
_cell_angle_alpha 90.00
_cell_angle_beta 90.00
_cell_angle_gamma 90.00
loop_
_atom_site_label
_atom_site_fract_x
_atom_site_fract_y
_atom_site_fract_z
Ho1 0.0000 0.0000 0.1255
Er1 0.0000 0.5000 0.0000
Ag1 0.0000 0.1984 0.3305
Ge1 0.0000 0.3156 0.5000
Ge2 0.0000 0.5000 0.2162
```

Main lines, in order of rising 2θ (2θ = 10–90°):
- d = 2.702 Å, rel. 100.0, hkl 1 2 1
- d = 2.681 Å, rel. 29.5, hkl 0 1 5
- d = 2.585 Å, rel. 91.0, hkl 1 1 4
- d = 2.411 Å, rel. 19.3, hkl 0 0 6
- d = 2.389 Å, rel. 24.3, hkl 1 2 3
- d = 2.162 Å, rel. 41.1, hkl 2 0 0
- d = 2.132 Å, rel. 34.4, hkl 0 3 3
- d = 1.518 Å, rel. 22.8, hkl 2 3 3
- d = 1.331 Å, rel. 17.9, hkl 3 2 1
- d = 1.268 Å, rel. 17.6, hkl 1 5 4

[6]
The following is a theoretical X-ray powder pattern of ErTm2Ag4Ge4. It was derived from a cell relaxed with GGA-PBE, using Cu Ka.
Lines closer than 0.1° are merged.

Atomic structure:
```
data_ErTm2Ag4Ge4
_symmetry_space_group_name_H-M 'I m m m'
_symmetry_Int_Tables_number 71
_symmetry_space_group_name_Hall '-I 2 2'
_cell_length_a 4.2964
_cell_length_b 7.1405
_cell_length_c 14.4072
_cell_angle_alpha 90.00
_cell_angle_beta 90.00
_cell_angle_gamma 90.00
loop_
_atom_site_label
_atom_site_fract_x
_atom_site_fract_y
_atom_site_fract_z
Er1 0.0000 0.0000 0.0000
Tm1 0.0000 0.5000 0.1249
Ag1 0.0000 0.3010 0.3302
Ge1 0.0000 0.0000 0.2166
Ge2 0.0000 0.1839 0.5000
```

Main lines, in order of rising 2θ (2θ = 10–90°):
- d = 2.697 Å, rel. 100.0, hkl 1 2 1
- d = 2.672 Å, rel. 29.8, hkl 0 1 5
- d = 2.575 Å, rel. 91.2, hkl 1 1 4
- d = 2.401 Å, rel. 18.3, hkl 0 0 6
- d = 2.384 Å, rel. 24.6, hkl 1 2 3
- d = 2.148 Å, rel. 40.4, hkl 2 0 0
- d = 2.133 Å, rel. 34.2, hkl 0 3 3
- d = 1.674 Å, rel. 14.6, hkl 2 1 5
- d = 1.513 Å, rel. 22.5, hkl 2 3 3
- d = 1.268 Å, rel. 17.4, hkl 1 5 4